(1)
For SrCa7Mn8O20, DFT lattice parameters and positions (GGA+U) gives the simulated powder diffraction line list in this record (a wavelength of 1.5418 Å).

Largest 8 diffraction maxima, sorted by position, 10° ≤ 2θ ≤ 90°:
2.783 Å, 2θ = 32.2°, I 100; 2.770 Å, 2θ = 32.3°, I 46; 2.758 Å, 2θ = 32.5°, I 43; 2.696 Å, 2θ = 33.2°, I 94; 1.954 Å, 2θ = 46.5°, I 77; 1.919 Å, 2θ = 47.4°, I 32; 1.615 Å, 2θ = 57.0°, I 19; 1.391 Å, 2θ = 67.3°, I 18

Atomic structure:
```
data_SrCa7Mn8O20
_chemical_formula_sum 'Sr1 Ca7 Mn8 O20'
_cell_length_a 7.822
_cell_length_b 7.822
_cell_length_c 7.683
_cell_angle_alpha 91.81
_cell_angle_beta 91.81
_cell_angle_gamma 90.17
_space_group_name_H-M_alt 'P 1'
_space_group_IT_number 1
_space_group_name_Hall 'P 1'
loop_
_atom_site_label
_atom_site_type_symbol
_atom_site_fract_x
_atom_site_fract_y
_atom_site_fract_z
Sr1 Sr 0.000 0.000 0.000
Ca1 Ca 0.503 0.503 0.028
Ca2 Ca 0.510 0.988 0.016
Ca3 Ca 0.512 0.512 0.481
Ca4 Ca 0.515 0.999 0.473
Ca5 Ca 0.978 0.978 0.457
Ca6 Ca 0.988 0.510 0.016
Ca7 Ca 0.999 0.515 0.473
Mn1 Mn 0.245 0.245 0.278
Mn2 Mn 0.245 0.245 0.752
Mn3 Mn 0.245 0.737 0.249
Mn4 Mn 0.248 0.759 0.758
Mn5 Mn 0.737 0.245 0.249
Mn6 Mn 0.740 0.740 0.748
Mn7 Mn 0.742 0.742 0.253
Mn8 Mn 0.759 0.248 0.758
O1 O 0.020 0.278 0.821
O2 O 0.230 0.707 0.997
O3 O 0.236 0.482 0.222
O4 O 0.241 0.994 0.282
O5 O 0.250 0.716 0.507
O6 O 0.278 0.020 0.821
O7 O 0.313 0.313 0.536
O8 O 0.482 0.236 0.222
O9 O 0.497 0.728 0.791
O10 O 0.500 0.744 0.227
O11 O 0.707 0.230 0.997
O12 O 0.716 0.250 0.507
O13 O 0.728 0.497 0.791
O14 O 0.735 0.735 0.500
O15 O 0.736 0.991 0.759
O16 O 0.743 0.985 0.246
O17 O 0.744 0.500 0.227
O18 O 0.985 0.743 0.246
O19 O 0.991 0.736 0.759
O20 O 0.994 0.241 0.282
```


(2)
For Sr3Ca5Mn8O24, DFT lattice parameters and positions (GGA+U) gives the simulated powder diffraction line list in this record (a wavelength of 1.5418 Å).

Largest 8 diffraction maxima, sorted by position, 10° ≤ 2θ ≤ 90°:
7.667 Å, 2θ = 11.5°, I 6; 2.711 Å, 2θ = 33.0°, I 100; 2.213 Å, 2θ = 40.8°, I 10; 1.917 Å, 2θ = 47.4°, I 46; 1.565 Å, 2θ = 59.0°, I 36; 1.355 Å, 2θ = 69.3°, I 25; 1.212 Å, 2θ = 79.0°, I 15; 1.107 Å, 2θ = 88.3°, I 8

Atomic structure:
```
data_Sr3Ca5Mn8O24
_chemical_formula_sum 'Sr3 Ca5 Mn8 O24'
_cell_length_a 7.667
_cell_length_b 7.667
_cell_length_c 7.667
_cell_angle_alpha 90.00
_cell_angle_beta 90.00
_cell_angle_gamma 90.00
_space_group_name_H-M_alt 'P 1'
_space_group_IT_number 1
_space_group_name_Hall 'P 1'
loop_
_atom_site_label
_atom_site_type_symbol
_atom_site_fract_x
_atom_site_fract_y
_atom_site_fract_z
Sr1 Sr 0.000 0.000 0.000
Sr2 Sr 0.000 0.500 0.000
Sr3 Sr 0.500 0.000 0.000
Ca1 Ca 0.000 0.000 0.500
Ca2 Ca 0.000 0.500 0.500
Ca3 Ca 0.500 0.000 0.500
Ca4 Ca 0.500 0.500 0.000
Ca5 Ca 0.500 0.500 0.500
Mn1 Mn 0.250 0.250 0.251
Mn2 Mn 0.250 0.250 0.749
Mn3 Mn 0.250 0.750 0.251
Mn4 Mn 0.250 0.750 0.749
Mn5 Mn 0.750 0.250 0.251
Mn6 Mn 0.750 0.250 0.749
Mn7 Mn 0.750 0.750 0.251
Mn8 Mn 0.750 0.750 0.749
O1 O 0.000 0.250 0.254
O2 O 0.000 0.250 0.746
O3 O 0.000 0.750 0.254
O4 O 0.000 0.750 0.746
O5 O 0.250 0.000 0.254
O6 O 0.250 0.000 0.746
O7 O 0.250 0.250 0.500
O8 O 0.250 0.750 0.500
O9 O 0.252 0.252 0.000
O10 O 0.252 0.500 0.252
O11 O 0.252 0.500 0.748
O12 O 0.252 0.748 0.000
O13 O 0.500 0.252 0.252
O14 O 0.500 0.252 0.748
O15 O 0.500 0.748 0.252
O16 O 0.500 0.748 0.748
O17 O 0.748 0.252 0.000
O18 O 0.748 0.500 0.252
O19 O 0.748 0.500 0.748
O20 O 0.748 0.748 0.000
O21 O 0.750 0.000 0.254
O22 O 0.750 0.000 0.746
O23 O 0.750 0.250 0.500
O24 O 0.750 0.750 0.500
```


(3)
For Sr2CaMnO6, DFT lattice parameters and positions (GGA+U) gives the simulated powder diffraction line list in this record (a wavelength of 1.5418 Å).

Largest 8 diffraction maxima, sorted by position, 10° ≤ 2θ ≤ 90°:
2.910 Å, 2θ = 30.7°, I 100; 2.376 Å, 2θ = 37.9°, I 19; 2.058 Å, 2θ = 44.0°, I 40; 1.680 Å, 2θ = 54.6°, I 37; 1.455 Å, 2θ = 64.0°, I 23; 1.301 Å, 2θ = 72.6°, I 17; 1.188 Å, 2θ = 80.9°, I 7; 1.100 Å, 2θ = 89.0°, I 21

Atomic structure:
```
data_Sr2CaMnO6
_chemical_formula_sum 'Sr2 Ca1 Mn1 O6'
_cell_length_a 5.820
_cell_length_b 5.820
_cell_length_c 5.820
_cell_angle_alpha 60.00
_cell_angle_beta 60.00
_cell_angle_gamma 60.00
_space_group_name_H-M_alt 'P 1'
_space_group_IT_number 1
_space_group_name_Hall 'P 1'
loop_
_atom_site_label
_atom_site_type_symbol
_atom_site_fract_x
_atom_site_fract_y
_atom_site_fract_z
Sr1 Sr 0.250 0.250 0.250
Sr2 Sr 0.750 0.750 0.750
Ca1 Ca 0.000 0.000 0.000
Mn1 Mn 0.500 0.500 0.500
O1 O 0.271 0.271 0.729
O2 O 0.271 0.729 0.271
O3 O 0.271 0.729 0.729
O4 O 0.729 0.271 0.271
O5 O 0.729 0.271 0.729
O6 O 0.729 0.729 0.271
```


Q: What is the formula in the first record?
A: SrCa7Mn8O20


Please write out number 1 again, unchanged.
For SrCa7Mn8O20, DFT lattice parameters and positions (GGA+U) gives the simulated powder diffraction line list in this record (a wavelength of 1.5418 Å).

Largest 8 diffraction maxima, sorted by position, 10° ≤ 2θ ≤ 90°:
2.783 Å, 2θ = 32.2°, I 100; 2.770 Å, 2θ = 32.3°, I 46; 2.758 Å, 2θ = 32.5°, I 43; 2.696 Å, 2θ = 33.2°, I 94; 1.954 Å, 2θ = 46.5°, I 77; 1.919 Å, 2θ = 47.4°, I 32; 1.615 Å, 2θ = 57.0°, I 19; 1.391 Å, 2θ = 67.3°, I 18

Atomic structure:
```
data_SrCa7Mn8O20
_chemical_formula_sum 'Sr1 Ca7 Mn8 O20'
_cell_length_a 7.822
_cell_length_b 7.822
_cell_length_c 7.683
_cell_angle_alpha 91.81
_cell_angle_beta 91.81
_cell_angle_gamma 90.17
_space_group_name_H-M_alt 'P 1'
_space_group_IT_number 1
_space_group_name_Hall 'P 1'
loop_
_atom_site_label
_atom_site_type_symbol
_atom_site_fract_x
_atom_site_fract_y
_atom_site_fract_z
Sr1 Sr 0.000 0.000 0.000
Ca1 Ca 0.503 0.503 0.028
Ca2 Ca 0.510 0.988 0.016
Ca3 Ca 0.512 0.512 0.481
Ca4 Ca 0.515 0.999 0.473
Ca5 Ca 0.978 0.978 0.457
Ca6 Ca 0.988 0.510 0.016
Ca7 Ca 0.999 0.515 0.473
Mn1 Mn 0.245 0.245 0.278
Mn2 Mn 0.245 0.245 0.752
Mn3 Mn 0.245 0.737 0.249
Mn4 Mn 0.248 0.759 0.758
Mn5 Mn 0.737 0.245 0.249
Mn6 Mn 0.740 0.740 0.748
Mn7 Mn 0.742 0.742 0.253
Mn8 Mn 0.759 0.248 0.758
O1 O 0.020 0.278 0.821
O2 O 0.230 0.707 0.997
O3 O 0.236 0.482 0.222
O4 O 0.241 0.994 0.282
O5 O 0.250 0.716 0.507
O6 O 0.278 0.020 0.821
O7 O 0.313 0.313 0.536
O8 O 0.482 0.236 0.222
O9 O 0.497 0.728 0.791
O10 O 0.500 0.744 0.227
O11 O 0.707 0.230 0.997
O12 O 0.716 0.250 0.507
O13 O 0.728 0.497 0.791
O14 O 0.735 0.735 0.500
O15 O 0.736 0.991 0.759
O16 O 0.743 0.985 0.246
O17 O 0.744 0.500 0.227
O18 O 0.985 0.743 0.246
O19 O 0.991 0.736 0.759
O20 O 0.994 0.241 0.282
```